(1)
Calculated powder diffraction line list of Te8Pt3Au3 for Cu Kα X-rays, from a cell relaxed with PBE.
Kinematic intensities with the Lorentz-polarization factor, no thermal factor.

The 10 most intense peaks (5° ≤ 2θ ≤ 70°), in order of rising 2θ:
2θ (°), d (Å), Rel. int.
13.2, 6.693, 22
21.7, 4.101, 34
25.5, 3.497, 100
30.8, 2.900, 69
40.4, 2.232, 72
44.1, 2.053, 65
44.2, 2.048, 61
51.6, 1.770, 12
61.3, 1.511, 18
64.2, 1.450, 18

Crystal structure
```
Te8Pt3Au3
1.0
4.1066 2.3709 6.6779
-4.1066 2.3709 6.6779
0.0000 -4.7419 6.6779
Te Pt Au
8 3 3
direct
0.2101 0.7576 0.7576
0.2364 0.2364 0.2364
0.2424 0.2424 0.7899
0.2424 0.7899 0.2424
0.7576 0.2101 0.7576
0.7576 0.7576 0.2101
0.7636 0.7636 0.7636
0.7899 0.2424 0.2424
0.0000 0.0000 0.5000
0.0000 0.5000 0.0000
0.5000 0.0000 0.0000
0.0000 0.0000 0.0000
0.3770 0.3770 0.3770
0.6230 0.6230 0.6230
```



(2)
Calculated powder diffraction line list of ThPt5Au for Cu Kα X-rays, from a cell relaxed with PBE.
Kinematic intensities with the Lorentz-polarization factor, no thermal factor.

The 10 most intense peaks (5° ≤ 2θ ≤ 70°), in order of rising 2θ:
2θ (°), d (Å), Rel. int.
35.2, 2.549, 61
36.0, 2.496, 100
37.8, 2.382, 38
38.1, 2.362, 30
40.3, 2.238, 45
40.7, 2.216, 52
42.4, 2.134, 34
42.7, 2.115, 41
42.9, 2.108, 36
43.5, 2.082, 35

Crystal structure
```
ThPt5Au
1.0
9.0527 0.0000 0.0000
0.0000 5.3003 0.0000
0.0000 0.0000 10.8774
Th Pt Au
4 20 4
direct
0.2490 0.2500 0.0604
0.2510 0.7500 0.5604
0.7490 0.2500 0.4396
0.7510 0.7500 0.9396
0.0246 0.7500 0.0766
0.0575 0.0048 0.2916
0.0575 0.4952 0.2916
0.0787 0.2500 0.5106
0.1974 0.2500 0.7384
0.3026 0.7500 0.2384
0.4213 0.7500 0.0106
0.4425 0.5048 0.7916
0.4425 0.9952 0.7916
0.4754 0.2500 0.5766
0.5246 0.7500 0.4234
0.5575 0.0048 0.2084
0.5575 0.4952 0.2084
0.5787 0.2500 0.9894
0.6974 0.2500 0.7616
0.8026 0.7500 0.2616
0.9213 0.7500 0.4894
0.9425 0.5048 0.7084
0.9425 0.9952 0.7084
0.9754 0.2500 0.9234
0.1700 0.7500 0.8586
0.3300 0.2500 0.3586
0.6700 0.7500 0.6414
0.8300 0.2500 0.1414
```



(3)
Calculated powder diffraction line list of TiPt3Au for Cu Kα X-rays, from a cell relaxed with PBE.
Kinematic intensities with the Lorentz-polarization factor, no thermal factor.

The 8 most intense peaks (5° ≤ 2θ ≤ 70°), in order of rising 2θ:
2θ (°), d (Å), Rel. int.
19.0, 4.675, 1
27.0, 3.306, 1
33.2, 2.699, 100
38.5, 2.337, 64
47.6, 1.909, 1
55.6, 1.653, 45
66.3, 1.410, 42
69.7, 1.350, 15

Crystal structure
```
TiPt3Au
1.0
4.6749 0.0000 0.0000
0.0000 4.6749 0.0000
0.0000 0.0000 4.6749
Ti Pt Au
1 3 1
direct
0.0000 0.0000 0.0000
0.0000 0.0000 0.5000
0.0000 0.5000 0.0000
0.5000 0.0000 0.0000
0.5000 0.5000 0.5000
```



(4)
Calculated powder diffraction line list of TlPtAu2 for Cu Kα X-rays, from a cell relaxed with PBE.
Kinematic intensities with the Lorentz-polarization factor, no thermal factor.

The 6 most intense peaks (5° ≤ 2θ ≤ 70°), in order of rising 2θ:
2θ (°), d (Å), Rel. int.
37.0, 2.432, 100
38.0, 2.365, 23
45.2, 2.005, 29
60.5, 1.530, 24
65.9, 1.418, 9
68.0, 1.378, 17

Crystal structure
```
TlPtAu2
1.0
-2.0051 2.0051 4.7309
2.0051 -2.0051 4.7309
2.0051 2.0051 -4.7309
Tl Pt Au
1 1 2
direct
0.0000 0.0000 0.0000
0.5000 0.5000 0.0000
0.2500 0.7500 0.5000
0.7500 0.2500 0.5000
```



(5)
Calculated powder diffraction line list of TlPt4Au for Cu Kα X-rays, from a cell relaxed with PBE.
Kinematic intensities with the Lorentz-polarization factor, no thermal factor.

The 9 most intense peaks (5° ≤ 2θ ≤ 70°), in order of rising 2θ:
2θ (°), d (Å), Rel. int.
20.2, 4.398, 4
33.3, 2.694, 28
39.2, 2.297, 100
41.0, 2.199, 39
47.8, 1.905, 4
52.3, 1.748, 1
59.4, 1.555, 11
63.4, 1.466, 33
69.8, 1.347, 29

Crystal structure
```
TlPt4Au
1.0
0.0000 3.8092 3.8092
3.8092 0.0000 3.8092
3.8092 3.8092 0.0000
Tl Pt Au
1 4 1
direct
0.0000 0.0000 0.0000
0.3752 0.3752 0.3752
0.3752 0.3752 0.8743
0.3752 0.8743 0.3752
0.8743 0.3752 0.3752
0.7500 0.7500 0.7500
```



(6)
Calculated powder diffraction line list of Tm4Pt3Au for Cu Kα X-rays, from a cell relaxed with PBE.
Kinematic intensities with the Lorentz-polarization factor, no thermal factor.

The 10 most intense peaks (5° ≤ 2θ ≤ 70°), in order of rising 2θ:
2θ (°), d (Å), Rel. int.
32.5, 2.756, 100
34.1, 2.630, 31
39.7, 2.272, 24
40.0, 2.256, 35
40.8, 2.214, 79
49.4, 1.844, 19
53.5, 1.712, 18
61.4, 1.510, 12
65.4, 1.428, 17
67.9, 1.381, 12

Crystal structure
```
Tm4Pt3Au
1.0
3.6872 0.0000 0.0000
0.0000 4.5124 0.0000
0.0000 0.0000 10.5186
Tm Pt Au
4 3 1
direct
0.0000 0.0000 0.0000
0.0000 0.5000 0.2686
0.5000 0.0000 0.4862
0.5000 0.5000 0.7712
0.0000 0.5000 0.5425
0.5000 0.0000 0.2189
0.5000 0.5000 0.0408
0.0000 0.0000 0.7193
```



(7)
Calculated powder diffraction line list of TmPt3Au for Cu Kα X-rays, from a cell relaxed with PBE.
Kinematic intensities with the Lorentz-polarization factor, no thermal factor.

The 10 most intense peaks (5° ≤ 2θ ≤ 70°), in order of rising 2θ:
2θ (°), d (Å), Rel. int.
12.9, 6.848, 19
16.0, 5.534, 14
19.5, 4.541, 15
26.2, 3.397, 19
28.0, 3.182, 17
37.6, 2.390, 65
39.7, 2.270, 48
39.9, 2.262, 15
43.6, 2.077, 100
58.6, 1.576, 13

Crystal structure
```
TmPt3Au
1.0
5.5340 -4.3581 0.0000
5.5340 4.3581 0.0000
0.0000 0.0000 9.0821
Tm Pt Au
4 12 4
direct
0.0114 0.9886 0.7500
0.3987 0.6013 0.2500
0.6013 0.3987 0.7500
0.9886 0.0114 0.2500
0.1812 0.5643 0.7500
0.2002 0.7998 0.0044
0.2002 0.7998 0.4956
0.3784 0.3784 0.0000
0.3784 0.3784 0.5000
0.4357 0.8188 0.7500
0.5643 0.1812 0.2500
0.6216 0.6216 0.0000
0.6216 0.6216 0.5000
0.7998 0.2002 0.5044
0.7998 0.2002 0.9956
0.8188 0.4357 0.2500
0.0000 0.5000 0.0000
0.0000 0.5000 0.5000
0.5000 0.0000 0.0000
0.5000 0.0000 0.5000
```



(8)
Calculated powder diffraction line list of PtW2Au2 for Cu Kα X-rays, from a cell relaxed with PBE.
Kinematic intensities with the Lorentz-polarization factor, no thermal factor.

The 10 most intense peaks (5° ≤ 2θ ≤ 70°), in order of rising 2θ:
2θ (°), d (Å), Rel. int.
32.3, 2.767, 17
36.3, 2.475, 72
39.3, 2.294, 35
41.0, 2.201, 100
41.6, 2.171, 20
47.9, 1.898, 12
48.9, 1.863, 11
58.5, 1.577, 11
66.0, 1.415, 10
69.7, 1.349, 21

Crystal structure
```
PtW2Au2
1.0
7.8276 0.0000 0.0000
0.0000 7.8276 0.0000
0.0000 0.0000 2.8307
Pt W Au
2 4 4
direct
0.0000 0.0000 0.0000
0.5000 0.5000 0.0000
0.1764 0.3236 0.5000
0.3236 0.8236 0.5000
0.6764 0.1764 0.5000
0.8236 0.6764 0.5000
0.1228 0.6228 0.0000
0.3772 0.1228 0.0000
0.6228 0.8772 0.0000
0.8772 0.3772 0.0000
```